Entry 1:
For Ho2Fe3B4Ir2, a DFT-relaxed cell (GGA-PBE, OQMD) gives the simulated XRD peak list in this record (Cu Kα (λ = 1.5418 Å)).
Peak positions follow from Bragg's law for the DFT cell and can differ from measured ones.

Largest 10 diffraction maxima, in order of rising 2θ, 2θ = 5–70°:
| 2θ/deg | I_rel |
| --- | --- |
| 15.72 | 24 |
| 20.80 | 16 |
| 24.91 | 20 |
| 30.68 | 35 |
| 37.37 | 61 |
| 39.01 | 100 |
| 41.52 | 19 |
| 42.30 | 14 |
| 46.94 | 32 |
| 62.60 | 24 |

Structure:
Cell: 7.289 6.233 5.335 Å, 77.69 56.66 45.65°
Fractional coordinates of all 11 atoms:
Ho1 0.137 0.137 0.863
Ho2 0.863 0.863 0.137
Fe1 0.000 0.000 0.500
Fe2 0.500 0.500 0.000
Fe3 0.500 0.500 0.500
B1 0.220 0.534 0.466
B2 0.466 0.780 0.220
B3 0.534 0.220 0.780
B4 0.780 0.466 0.534
Ir1 0.250 0.250 0.250
Ir2 0.750 0.750 0.750

=====

Entry 2:
For Ho2Fe2B4Ir3, a DFT-relaxed cell (GGA-PBE, OQMD) gives the simulated XRD peak list in this record (Cu Kα (λ = 1.5418 Å)).
Peak positions follow from Bragg's law for the DFT cell and can differ from measured ones.

Largest 10 diffraction maxima, in order of rising 2θ, 2θ = 5–70°:
| 2θ/deg | I_rel |
| --- | --- |
| 16.01 | 53 |
| 30.90 | 82 |
| 37.58 | 89 |
| 38.64 | 100 |
| 41.06 | 57 |
| 42.07 | 22 |
| 47.32 | 21 |
| 61.95 | 17 |
| 64.39 | 21 |
| 68.56 | 21 |

Structure:
Cell: 7.318 6.147 5.477 Å, 77.80 55.18 47.02°
Fractional coordinates of all 11 atoms:
Ho1 0.146 0.146 0.854
Ho2 0.854 0.854 0.146
Fe1 0.250 0.250 0.250
Fe2 0.750 0.750 0.750
B1 0.198 0.519 0.481
B2 0.481 0.802 0.198
B3 0.519 0.198 0.802
B4 0.802 0.481 0.519
Ir1 0.000 0.000 0.500
Ir2 0.500 0.500 0.000
Ir3 0.500 0.500 0.500